This entry pairs a crystal structure of K2AcTcO6 with its theoretical XRD peak list. Radiation: Cu Kα. Structure: the PBE geometry in Alexandria.
Neutral-atom scattering factors, no anomalous dispersion.

Structure:
Cell lengths 8.7469, 8.7470, 6.1828 Å; angles 90.00, 134.98, 90.00 degrees
Space group Cm (No. 8)
Symmetry-distinct sites (fractional):
K: 0.0000 0.2502 0.0000 x4
Ac: 0.9998 0.0000 0.5000 x2
Tc: 0.9996 0.5000 0.5000 x2
O: 0.2171 0.5000 0.4994 x2
O: 0.2174 0.5000 0.9356 x2
O: 0.2813 0.0000 0.0643 x2
O: 0.2822 0.0000 0.5010 x2
O: 0.4990 0.2179 0.4993 x4

Most intense lines, 2θ from 10° to 90°, by angle:
d/Å, I_rel
4.373, 64
3.093, 100
2.637, 14
2.187, 32
1.956, 28
1.785, 39
1.546, 19
1.458, 14
1.383, 19
1.169, 21